Entry 1:
Starting from a crystal structure in the Materials Project, relaxed with GGA-PBE, the PXRD pattern of DyMgVS4 was calculated for a wavelength of 1.5418 Å.
Peak positions follow from Bragg's law for the DFT cell and can differ from measured ones.

Atomic structure:
Cell lengths 10.754, 10.668, 7.542 Å; angles 90.00, 134.49, 90.00 degrees
Space group C2/c (No. 15)
Unique sites:
Dy 0.250 0.250 0.000 [4 per cell]
Mg 0.000 0.123 0.250 [4 per cell]
V 0.000 0.500 0.000 [4 per cell]
S 0.000 0.269 0.000 [8 per cell]
S 0.216 0.496 0.466 [8 per cell]

The 10 most intense peaks (10° ≤ 2θ ≤ 90°), by intensity:
| (hkl) | 2theta | I_rel |
| --- | --- | --- |
| 1 1 -1 | 14.38 | 100 |
| 1 1 1 | 27.39 | 71 |
| 0 0 2 | 33.32 | 67 |
| 0 4 2 | 48.05 | 59 |
| 1 3 -1 | 27.71 | 51 |
| 0 4 0 | 33.60 | 32 |
| 3 3 -3 | 44.10 | 24 |
| 1 3 1 | 36.46 | 23 |
| 0 2 0 | 16.62 | 20 |
| 5 1 -3 | 43.89 | 20 |

Entry 2:
Starting from a crystal structure in the Materials Project, relaxed with GGA-PBE, the PXRD pattern of Ho2Co12P7 was calculated for a wavelength of 1.5418 Å.
Peak positions follow from Bragg's law for the DFT cell and can differ from measured ones.

Atomic structure:
Cell lengths 8.9996, 8.9996, 3.5819 Å; angles 90.00, 90.00, 120.00 degrees
Space group P-6 (No. 174)
Unique sites:
Ho 0.0000 0.0000 0.0000 [1 per cell]
Ho 0.3333 0.6667 0.5000 [1 per cell]
Co 0.0492 0.7686 0.5000 [3 per cell]
Co 0.1011 0.3934 0.0000 [3 per cell]
Co 0.3939 0.2142 0.0000 [3 per cell]
Co 0.5351 0.0993 0.5000 [3 per cell]
P 0.0732 0.6270 0.0000 [3 per cell]
P 0.2640 0.0420 0.5000 [3 per cell]
P 0.6667 0.3333 0.0000 [1 per cell]

The 10 most intense peaks (10° ≤ 2θ ≤ 90°), by intensity:
| (hkl) | 2theta | I_rel |
| --- | --- | --- |
| 1 2 1 | 39.61 | 100 |
| 0 0 2 | 51.01 | 20 |
| 4 1 0 | 53.91 | 17 |
| 1 0 1 | 27.40 | 12 |
| 4 1 2 | 77.38 | 11 |
| 2 2 0 | 40.08 | 11 |
| 1 2 0 | 30.34 | 10 |
| 3 0 0 | 34.52 | 9 |
| 1 2 3 | 88.33 | 9 |
| 2 3 1 | 57.62 | 9 |

Entry 3:
Starting from a crystal structure in the Materials Project, relaxed with GGA-PBE, the PXRD pattern of MgUO4 was calculated for a wavelength of 1.5418 Å.
Peak positions follow from Bragg's law for the DFT cell and can differ from measured ones.

Atomic structure:
Cell lengths 6.621, 6.966, 6.704 Å; angles 90.00, 90.00, 90.00 degrees
Space group Imma (No. 74)
Unique sites:
Mg 0.000 0.000 0.000 [4 per cell]
U 0.000 0.250 0.486 [4 per cell]
O 0.000 0.011 0.691 [8 per cell]
O 0.202 0.250 0.014 [8 per cell]

The 10 most intense peaks (10° ≤ 2θ ≤ 90°), by intensity:
| (hkl) | 2theta | I_rel |
| --- | --- | --- |
| 1 0 1 | 18.84 | 100 |
| 1 2 1 | 31.95 | 73 |
| 0 0 2 | 26.59 | 37 |
| 2 0 0 | 26.93 | 36 |
| 0 2 2 | 37.23 | 30 |
| 1 2 3 | 50.44 | 27 |
| 3 2 1 | 50.84 | 27 |
| 0 2 0 | 25.57 | 24 |
| 2 2 2 | 46.55 | 19 |
| 3 0 1 | 43.15 | 17 |

Entry 4:
Starting from a crystal structure in the Materials Project, relaxed with GGA-PBE, the PXRD pattern of Ba2UBeO6 was calculated for a wavelength of 1.5418 Å.
Peak positions follow from Bragg's law for the DFT cell and can differ from measured ones.

Atomic structure:
Cell lengths 8.221, 8.221, 8.221 Å; angles 90.00, 90.00, 90.00 degrees
Space group Fm-3m (No. 225)
Unique sites:
Ba 0.250 0.250 0.250 [8 per cell]
U 0.000 0.000 0.000 [4 per cell]
Be 0.000 0.000 0.500 [4 per cell]
O 0.000 0.000 0.257 [24 per cell]

The 10 most intense peaks (10° ≤ 2θ ≤ 90°), by intensity:
| (hkl) | 2theta | I_rel |
| --- | --- | --- |
| 2 2 0 | 30.76 | 100 |
| 1 1 1 | 18.69 | 47 |
| 4 2 2 | 54.69 | 41 |
| 4 0 0 | 44.06 | 30 |
| 3 1 1 | 36.24 | 30 |
| 6 4 2 | 89.13 | 23 |
| 4 4 0 | 64.07 | 19 |
| 6 2 0 | 72.75 | 18 |
| 3 3 1 | 48.25 | 14 |
| 3 3 3 | 58.32 | 10 |

Entry 5:
Starting from a crystal structure in the Materials Project, relaxed with GGA-PBE, the PXRD pattern of Lu4CrS7 was calculated for a wavelength of 1.5418 Å.
Peak positions follow from Bragg's law for the DFT cell and can differ from measured ones.

Atomic structure:
Cell lengths 12.255, 3.719, 11.205 Å; angles 90.00, 105.13, 90.00 degrees
Space group Cm (No. 8)
Unique sites:
Lu 0.000 0.000 0.000 [2 per cell]
Lu 0.081 0.500 0.364 [2 per cell]
Lu 0.195 0.500 0.802 [2 per cell]
Lu 0.388 0.000 0.601 [2 per cell]
Cr 0.309 0.500 0.221 [2 per cell]
S 0.035 0.000 0.745 [2 per cell]
S 0.162 0.500 0.024 [2 per cell]
S 0.200 0.000 0.293 [2 per cell]
S 0.231 0.500 0.582 [2 per cell]
S 0.356 0.000 0.848 [2 per cell]
S 0.427 0.000 0.151 [2 per cell]
S 0.448 0.500 0.434 [2 per cell]

The 10 most intense peaks (10° ≤ 2θ ≤ 90°), by intensity:
| (hkl) | 2theta | I_rel |
| --- | --- | --- |
| 2 0 2 | 25.05 | 100 |
| 2 0 -3 | 25.35 | 78 |
| 3 1 1 | 35.62 | 48 |
| 3 1 0 | 33.11 | 48 |
| 0 2 0 | 48.98 | 48 |
| 3 1 -2 | 34.30 | 43 |
| 3 1 -1 | 32.64 | 40 |
| 4 0 -1 | 29.15 | 38 |
| 1 1 -2 | 29.00 | 38 |
| 1 1 4 | 43.64 | 37 |

Entry 6:
Starting from a crystal structure in the Materials Project, relaxed with GGA-PBE, the PXRD pattern of CrH18I7N6 was calculated for a wavelength of 1.5418 Å.
Peak positions follow from Bragg's law for the DFT cell and can differ from measured ones.

Atomic structure:
Cell lengths 15.943, 8.099, 10.041 Å; angles 90.00, 122.91, 90.00 degrees
Space group C2/m (No. 12)
Unique sites:
Cr 0.000 0.000 0.000 [2 per cell]
H 0.019 0.237 0.832 [8 per cell]
H 0.079 0.280 0.161 [8 per cell]
H 0.088 0.141 0.287 [8 per cell]
H 0.164 0.101 0.010 [8 per cell]
H 0.199 0.000 0.174 [4 per cell]
I 0.000 0.500 0.500 [2 per cell]
I 0.103 0.000 0.629 [4 per cell]
I 0.163 0.500 0.046 [4 per cell]
I 0.187 0.500 0.509 [4 per cell]
N 0.041 0.184 0.173 [8 per cell]
N 0.147 0.000 0.053 [4 per cell]

The 10 most intense peaks (10° ≤ 2θ ≤ 90°), by intensity:
| (hkl) | 2theta | I_rel |
| --- | --- | --- |
| 0 2 0 | 21.95 | 100 |
| 3 1 -2 | 22.49 | 79 |
| 0 2 2 | 30.61 | 64 |
| 0 0 2 | 21.08 | 49 |
| 4 0 -3 | 28.31 | 35 |
| 5 1 -1 | 31.07 | 33 |
| 5 1 0 | 35.31 | 31 |
| 1 1 -4 | 41.11 | 20 |
| 3 1 0 | 22.76 | 20 |
| 3 3 -2 | 38.83 | 19 |

Entry 7:
Starting from a crystal structure in the Materials Project, relaxed with GGA-PBE, the PXRD pattern of Zn3Pd was calculated for a wavelength of 1.5418 Å.
Peak positions follow from Bragg's law for the DFT cell and can differ from measured ones.

Atomic structure:
Cell lengths 3.767, 3.767, 8.254 Å; angles 90.00, 90.00, 90.00 degrees
Space group I4/mmm (No. 139)
Unique sites:
Zn 0.000 0.000 0.000 [2 per cell]
Zn 0.000 0.500 0.250 [4 per cell]
Pd 0.000 0.000 0.500 [2 per cell]

The 10 most intense peaks (10° ≤ 2θ ≤ 90°), by intensity:
| (hkl) | 2theta | I_rel |
| --- | --- | --- |
| 1 1 2 | 40.30 | 100 |
| 2 0 0 | 48.32 | 29 |
| 3 1 2 | 84.69 | 21 |
| 2 0 4 | 67.31 | 21 |
| 0 0 4 | 43.87 | 19 |
| 1 1 6 | 78.21 | 13 |
| 2 2 4 | 87.10 | 10 |
| 2 2 0 | 70.74 | 9 |
| 1 0 1 | 26.00 | 4 |
| 0 0 2 | 21.53 | 2 |

Entry 8:
Starting from a crystal structure in the Materials Project, relaxed with GGA-PBE, the PXRD pattern of TmTa3 was calculated for a wavelength of 1.5418 Å.
Peak positions follow from Bragg's law for the DFT cell and can differ from measured ones.

Atomic structure:
Cell lengths 6.849, 6.849, 6.849 Å; angles 90.00, 90.00, 90.00 degrees
Space group Fm-3m (No. 225)
Unique sites:
Tm 0.000 0.000 0.000 [4 per cell]
Ta 0.000 0.000 0.500 [4 per cell]
Ta 0.250 0.250 0.250 [8 per cell]

The 4 most intense peaks (10° ≤ 2θ ≤ 90°), by intensity:
| (hkl) | 2theta | I_rel |
| --- | --- | --- |
| 2 2 0 | 37.13 | 100 |
| 4 2 2 | 66.93 | 36 |
| 4 0 0 | 53.51 | 18 |
| 4 4 0 | 79.09 | 11 |